Diffraction record for UCd11. The PXRD pattern is theoretical, not measured: it uses a cell relaxed with GGA-PBE and λ = 1.5418 Å (Cu Kα).

Main lines, most intense first (2θ from 10° to 80°):
- (2 2 0), 2.575 Å, 2θ = 34.85°, I = 100
- (2 0 1), 2.483 Å, 2θ = 36.17°, I = 53
- (1 1 1), 2.586 Å, 2θ = 34.69°, I = 30
- (6 0 0), 1.487 Å, 2θ = 62.46°, I = 22
- (2 2 2), 1.293 Å, 2θ = 73.21°, I = 22
- (4 2 1), 1.468 Å, 2θ = 63.35°, I = 20
- (4 0 1), 1.787 Å, 2θ = 51.10°, I = 19
- (4 4 0), 1.288 Å, 2θ = 73.54°, I = 17
- (3 0 1), 2.108 Å, 2θ = 42.90°, I = 17
- (4 1 1), 1.631 Å, 2θ = 56.41°, I = 14

Structural model:
Unit cell a=10.2985 b=10.2985 c=2.9899 alpha=90.00 beta=90.00 gamma=120.00
Space group P6/mmm (No. 191)
Inequivalent atoms, fractional coordinates:
U 0.0000 0.0000 0.0000 (multiplicity 1)
Cd 0.0000 0.5000 0.0000 (multiplicity 3)
Cd 0.1717 0.3434 0.5000 (multiplicity 6)
Cd 0.3333 0.6667 0.0000 (multiplicity 2)